Structure and calculated XRD peak list of In3Fe2Os3 (a structure optimized by DFT (PBE); Cu Kα (weighted mean of Kα1 and Kα2)).
Intensities are scaled so that the largest is 100.

Atomic structure:
a b c (Å): 6.6553 6.6553 6.6553
angles (deg): 46.11 46.11 46.11
Fractional coordinates of all 8 atoms:
In 0.0000 0.5000 0.5000
In 0.5000 0.0000 0.5000
In 0.5000 0.5000 0.0000
Fe 0.2053 0.2053 0.2053
Fe 0.7947 0.7947 0.7947
Os 0.0780 0.0780 0.0780
Os 0.5000 0.5000 0.5000
Os 0.9220 0.9220 0.9220

Principal peaks in the range 2θ from 10° to 80°, by angle:
d 2.796, 2θ 32.01, rel. 72; d 2.606, 2θ 34.41, rel. 84; d 2.386, 2θ 37.69, rel. 52; d 2.239, 2θ 40.27, rel. 48; d 2.216, 2θ 40.71, rel. 100; d 2.188, 2θ 41.26, rel. 68; d 2.013, 2θ 45.03, rel. 25; d 1.539, 2θ 60.13, rel. 25; d 1.417, 2θ 65.92, rel. 48; d 1.303, 2θ 72.54, rel. 32

Structure and calculated XRD peak list of In8Fe2Pd (a structure optimized by DFT (PBE); Cu Kα (weighted mean of Kα1 and Kα2)).
Intensities are scaled so that the largest is 100.

Atomic structure:
a b c (Å): 4.6375 4.6375 11.2640
angles (deg): 90.00 90.00 90.00
Fractional coordinates of all 11 atoms:
In 0.0000 0.0000 0.1829
In 0.0000 0.0000 0.8171
In 0.0000 0.5000 0.0000
In 0.0000 0.5000 0.3598
In 0.0000 0.5000 0.6402
In 0.5000 0.0000 0.0000
In 0.5000 0.0000 0.3598
In 0.5000 0.0000 0.6402
Fe 0.5000 0.5000 0.2030
Fe 0.5000 0.5000 0.7970
Pd 0.5000 0.5000 0.5000

Principal peaks in the range 2θ from 10° to 80°, by angle:
d 4.288, 2θ 20.71, rel. 11; d 3.580, 2θ 24.87, rel. 6; d 2.834, 2θ 31.57, rel. 11; d 2.470, 2θ 36.38, rel. 100; d 2.319, 2θ 38.84, rel. 49; d 1.640, 2θ 56.09, rel. 16; d 1.616, 2θ 56.99, rel. 8; d 1.459, 2θ 63.79, rel. 11; d 1.366, 2θ 68.72, rel. 29; d 1.294, 2θ 73.15, rel. 6

Structure and calculated XRD peak list of Pr2In8Fe (a structure optimized by DFT (PBE); Cu Kα (weighted mean of Kα1 and Kα2)).
Intensities are scaled so that the largest is 100.

Atomic structure:
a b c (Å): 4.6829 4.6829 12.4970
angles (deg): 90.00 90.00 90.00
Fractional coordinates of all 11 atoms:
Pr 0.0000 0.0000 0.1939
Pr 0.0000 0.0000 0.8061
In 0.0000 0.5000 0.0000
In 0.0000 0.5000 0.3826
In 0.0000 0.5000 0.6174
In 0.5000 0.0000 0.0000
In 0.5000 0.0000 0.3826
In 0.5000 0.0000 0.6174
In 0.5000 0.5000 0.1931
In 0.5000 0.5000 0.8069
Fe 0.0000 0.0000 0.5000

Principal peaks in the range 2θ from 10° to 80°, by angle:
d 2.926, 2θ 30.55, rel. 49; d 2.592, 2θ 34.60, rel. 100; d 2.499, 2θ 35.93, rel. 25; d 2.341, 2θ 38.45, rel. 58; d 1.709, 2θ 53.64, rel. 31; d 1.656, 2θ 55.50, rel. 19; d 1.441, 2θ 64.69, rel. 11; d 1.413, 2θ 66.14, rel. 17; d 1.395, 2θ 67.08, rel. 28; d 1.380, 2θ 67.91, rel. 15